(1)
Diffraction record for LaMgCrWO6. The X-ray powder pattern is theoretical, not measured: it uses the GGA+U geometry in the Materials Project and a wavelength of 1.5418 Å.
Peak positions follow from Bragg's law for the DFT cell and can differ from measured ones.

Cell and atoms:
Cell: 5.456 5.653 9.443 Å, 90.00 124.10 90.00°
Sites, in units of the cell vectors:
La (0.000, 0.208, 0.000)
La (0.000, 0.792, 0.500)
Mg (0.458, 0.302, 0.496)
Mg (0.458, 0.698, 0.996)
Cr (0.233, 0.250, 0.745)
Cr (0.233, 0.750, 0.245)
W (0.734, 0.253, 0.248)
W (0.734, 0.747, 0.748)
O (0.005, 0.465, 0.802)
O (0.005, 0.535, 0.302)
O (0.121, 0.057, 0.312)
O (0.121, 0.943, 0.812)
O (0.376, 0.476, 0.181)
O (0.376, 0.524, 0.681)
O (0.486, 0.058, 0.685)
O (0.486, 0.942, 0.185)
O (0.572, 0.302, 0.994)
O (0.572, 0.698, 0.494)
O (0.848, 0.224, 0.497)
O (0.848, 0.776, 0.997)

Most intense lines, 2θ from 10° to 80°, by angle:
2θ 19.38, rel. 69; 2θ 20.04, rel. 38; 2θ 31.66, rel. 47; 2θ 32.07, rel. 100; 2θ 32.57, rel. 96; 2θ 32.84, rel. 43; 2θ 46.26, rel. 47; 2θ 58.73, rel. 33

=====

(2)
Diffraction record for MnV2O4. The X-ray powder pattern is theoretical, not measured: it uses the GGA+U geometry in the Materials Project and a wavelength of 1.5418 Å.
Peak positions follow from Bragg's law for the DFT cell and can differ from measured ones.

Cell and atoms:
Cell: 20.445 20.445 20.445 Å, 16.97 16.97 16.97°
Sites, in units of the cell vectors:
Mn (0.000, 0.000, 0.000)
Mn (0.063, 0.063, 0.063)
Mn (0.250, 0.250, 0.250)
Mn (0.500, 0.500, 0.500)
Mn (0.657, 0.657, 0.657)
Mn (0.749, 0.749, 0.749)
Mn (0.813, 0.813, 0.813)
Mn (0.905, 0.905, 0.905)
V (0.035, 0.529, 0.529)
V (0.036, 0.036, 0.519)
V (0.036, 0.519, 0.036)
V (0.154, 0.154, 0.154)
V (0.280, 0.781, 0.781)
V (0.284, 0.284, 0.776)
V (0.284, 0.776, 0.284)
V (0.312, 0.312, 0.312)
V (0.405, 0.405, 0.405)
V (0.519, 0.036, 0.036)
V (0.529, 0.035, 0.529)
V (0.529, 0.529, 0.035)
V (0.562, 0.562, 0.562)
V (0.776, 0.284, 0.284)
V (0.781, 0.280, 0.781)
V (0.781, 0.781, 0.280)
O (0.082, 0.082, 0.623)
O (0.082, 0.623, 0.082)
O (0.097, 0.097, 0.097)
O (0.131, 0.575, 0.575)
O (0.212, 0.718, 0.718)
O (0.216, 0.216, 0.216)
O (0.234, 0.234, 0.685)
O (0.234, 0.685, 0.234)
O (0.322, 0.322, 0.884)
O (0.322, 0.884, 0.322)
O (0.344, 0.344, 0.344)
O (0.372, 0.834, 0.834)
O (0.439, 0.980, 0.980)
O (0.466, 0.466, 0.466)
O (0.471, 0.471, 0.959)
O (0.471, 0.959, 0.471)
O (0.575, 0.131, 0.575)
O (0.575, 0.575, 0.131)
O (0.594, 0.594, 0.594)
O (0.623, 0.082, 0.082)
O (0.685, 0.234, 0.234)
O (0.715, 0.715, 0.715)
O (0.718, 0.212, 0.718)
O (0.718, 0.718, 0.212)
O (0.834, 0.372, 0.834)
O (0.834, 0.834, 0.372)
O (0.847, 0.847, 0.847)
O (0.884, 0.322, 0.322)
O (0.959, 0.471, 0.471)
O (0.966, 0.966, 0.966)
O (0.980, 0.439, 0.980)
O (0.980, 0.980, 0.439)

Most intense lines, 2θ from 10° to 80°, by angle:
2θ 29.17, rel. 30; 2θ 29.61, rel. 32; 2θ 34.28, rel. 49; 2θ 34.66, rel. 100; 2θ 34.84, rel. 44; 2θ 42.04, rel. 41; 2θ 60.48, rel. 46; 2θ 61.46, rel. 45

=====

(3)
Diffraction record for Li3Co2O5. The X-ray powder pattern is theoretical, not measured: it uses the GGA+U geometry in the Materials Project and a wavelength of 1.5418 Å.
Peak positions follow from Bragg's law for the DFT cell and can differ from measured ones.

Cell and atoms:
Cell: 24.219 24.219 24.219 Å, 6.93 6.93 6.93°
Sites, in units of the cell vectors:
Li (0.000, 0.000, 0.000)
Li (0.099, 0.099, 0.099)
Li (0.301, 0.301, 0.301)
Li (0.500, 0.500, 0.500)
Li (0.699, 0.699, 0.699)
Li (0.901, 0.901, 0.901)
Co (0.200, 0.200, 0.200)
Co (0.400, 0.400, 0.400)
Co (0.600, 0.600, 0.600)
Co (0.800, 0.800, 0.800)
O (0.052, 0.052, 0.052)
O (0.148, 0.148, 0.148)
O (0.251, 0.251, 0.251)
O (0.350, 0.350, 0.350)
O (0.452, 0.452, 0.452)
O (0.548, 0.548, 0.548)
O (0.650, 0.650, 0.650)
O (0.749, 0.749, 0.749)
O (0.852, 0.852, 0.852)
O (0.948, 0.948, 0.948)

Most intense lines, 2θ from 10° to 80°, by angle:
2θ 10.99, rel. 16; 2θ 18.36, rel. 100; 2θ 35.97, rel. 42; 2θ 43.58, rel. 91; 2θ 47.66, rel. 14; 2θ 63.07, rel. 24; 2θ 63.58, rel. 25; 2θ 66.80, rel. 15

=====

(4)
Diffraction record for K2AlMo3P8O28. The X-ray powder pattern is theoretical, not measured: it uses the GGA+U geometry in the Materials Project and a wavelength of 1.5418 Å.
Peak positions follow from Bragg's law for the DFT cell and can differ from measured ones.

Cell and atoms:
Cell: 7.682 9.335 9.746 Å, 117.95 103.25 99.99°
Sites, in units of the cell vectors:
K (0.000, 0.000, 0.000)
K (0.000, 0.500, 0.500)
Al (0.500, 0.000, 0.000)
Mo (0.001, 0.751, 0.252)
Mo (0.500, 0.500, 0.500)
Mo (0.999, 0.249, 0.748)
P (0.242, 0.461, 0.156)
P (0.246, 0.963, 0.665)
P (0.383, 0.070, 0.313)
P (0.385, 0.584, 0.828)
P (0.615, 0.416, 0.172)
P (0.617, 0.930, 0.687)
P (0.754, 0.037, 0.335)
P (0.758, 0.539, 0.844)
O (0.103, 0.302, 0.992)
O (0.107, 0.804, 0.499)
O (0.194, 0.123, 0.698)
O (0.196, 0.624, 0.195)
O (0.205, 0.977, 0.317)
O (0.208, 0.482, 0.826)
O (0.256, 0.420, 0.294)
O (0.272, 0.927, 0.806)
O (0.349, 0.552, 0.650)
O (0.360, 0.048, 0.143)
O (0.450, 0.003, 0.644)
O (0.450, 0.497, 0.142)
O (0.451, 0.260, 0.455)
O (0.451, 0.773, 0.957)
O (0.549, 0.227, 0.043)
O (0.549, 0.740, 0.545)
O (0.550, 0.503, 0.858)
O (0.550, 0.997, 0.356)
O (0.640, 0.952, 0.857)
O (0.651, 0.448, 0.350)
O (0.728, 0.073, 0.194)
O (0.744, 0.580, 0.706)
O (0.792, 0.518, 0.174)
O (0.795, 0.023, 0.683)
O (0.804, 0.376, 0.805)
O (0.806, 0.877, 0.302)
O (0.893, 0.196, 0.501)
O (0.897, 0.698, 0.008)

Most intense lines, 2θ from 10° to 80°, by angle:
2θ 16.42, rel. 100; 2θ 16.76, rel. 41; 2θ 22.15, rel. 52; 2θ 24.97, rel. 37; 2θ 25.20, rel. 57; 2θ 28.91, rel. 89; 2θ 30.02, rel. 49; 2θ 37.94, rel. 34

=====

(5)
Diffraction record for NiP2O7. The X-ray powder pattern is theoretical, not measured: it uses the GGA+U geometry in the Materials Project and a wavelength of 1.5418 Å.
Peak positions follow from Bragg's law for the DFT cell and can differ from measured ones.

Cell and atoms:
Cell: 6.376 6.613 6.976 Å, 89.43 66.48 85.94°
Sites, in units of the cell vectors:
Ni (0.095, 0.141, 0.297)
Ni (0.905, 0.859, 0.703)
P (0.213, 0.645, 0.251)
P (0.335, 0.890, 0.855)
P (0.665, 0.110, 0.145)
P (0.787, 0.355, 0.749)
O (0.061, 0.830, 0.374)
O (0.096, 0.450, 0.270)
O (0.215, 0.849, 0.710)
O (0.242, 0.084, 0.987)
O (0.307, 0.701, 0.008)
O (0.412, 0.112, 0.294)
O (0.417, 0.598, 0.313)
O (0.583, 0.402, 0.687)
O (0.588, 0.888, 0.706)
O (0.693, 0.299, 0.992)
O (0.758, 0.916, 0.013)
O (0.785, 0.151, 0.290)
O (0.904, 0.550, 0.730)
O (0.939, 0.170, 0.626)

Most intense lines, 2θ from 10° to 80°, by angle:
2θ 13.43, rel. 54; 2θ 15.96, rel. 100; 2θ 19.14, rel. 23; 2θ 19.56, rel. 30; 2θ 27.90, rel. 39; 2θ 28.11, rel. 54; 2θ 30.23, rel. 60; 2θ 30.75, rel. 42